[1]
Starting from a crystal structure in Alexandria, relaxed with PBE, the powder X-ray diffraction pattern of Ca3Sn2 was calculated for Cu Kα (λ = 1.5418 Å).

Cell and atoms:
abc: 4.0649 4.0649 18.6846
angles: 90.00 90.00 90.00
Positions (direct):
Ca 0.0000 0.0000 0.0000
Ca 0.0000 0.0000 0.1857
Ca 0.0000 0.0000 0.8143
Ca 0.5000 0.5000 0.3143
Ca 0.5000 0.5000 0.5000
Ca 0.5000 0.5000 0.6857
Sn 0.0000 0.0000 0.3949
Sn 0.0000 0.0000 0.6051
Sn 0.5000 0.5000 0.1051
Sn 0.5000 0.5000 0.8949

Largest 12 diffraction maxima, sorted by position, 10° ≤ 2θ ≤ 80°:
two_theta, I (rel.)
19.00, 21
22.38, 25
31.12, 59
32.55, 100
36.71, 17
44.58, 22
49.29, 13
56.28, 40
58.96, 15
68.17, 9
68.62, 10
73.70, 10

[2]
Starting from a crystal structure in Alexandria, relaxed with PBE, the powder X-ray diffraction pattern of CaSn2 was calculated for Cu Kα (λ = 1.5418 Å).

Cell and atoms:
abc: 4.7303 14.7024 4.7263
angles: 90.00 90.00 90.00
Positions (direct):
Ca 0.0000 0.1536 0.0000
Ca 0.0000 0.8464 0.0000
Ca 0.5000 0.3464 0.0000
Ca 0.5000 0.6536 0.0000
Sn 0.0000 0.0000 0.5000
Sn 0.0000 0.3263 0.5000
Sn 0.0000 0.5000 0.0000
Sn 0.0000 0.6737 0.5000
Sn 0.5000 0.0000 0.0000
Sn 0.5000 0.1737 0.5000
Sn 0.5000 0.5000 0.5000
Sn 0.5000 0.8263 0.5000

Largest 12 diffraction maxima, sorted by position, 10° ≤ 2θ ≤ 80°:
two_theta, I (rel.)
12.04, 4
18.78, 7
22.36, 5
26.18, 7
32.42, 100
36.67, 17
38.06, 33
53.89, 23
54.92, 11
63.37, 13
65.24, 27
67.87, 12

[3]
Starting from a crystal structure in Alexandria, relaxed with PBE, the powder X-ray diffraction pattern of CaSn2 was calculated for Cu Kα (λ = 1.5418 Å).

Cell and atoms:
abc: 6.2774 6.2774 6.2774
angles: 60.00 60.00 60.00
Positions (direct):
Ca 0.1250 0.1250 0.1250
Ca 0.8750 0.8750 0.8750
Sn 0.0000 0.5000 0.5000
Sn 0.5000 0.0000 0.5000
Sn 0.5000 0.5000 0.0000
Sn 0.5000 0.5000 0.5000

Largest 12 diffraction maxima, sorted by position, 10° ≤ 2θ ≤ 80°:
two_theta, I (rel.)
17.30, 58
33.48, 100
35.01, 76
40.65, 26
44.48, 17
53.65, 35
58.84, 36
61.83, 14
69.42, 12
70.34, 32
73.97, 7
76.66, 8